For Hf4CoBi, a structure optimized by DFT (PBE) gives the simulated powder XRD pattern in this record (Cu Kα (λ = 1.5418 Å)).
Lines closer than 0.1° are merged.

Crystal structure
```
data_Hf4CoBi
_chemical_formula_sum 'Hf8 Co2 Bi2'
_space_group_name_H-M_alt 'I 4 2 2'
_space_group_IT_number 97
_space_group_name_Hall 'I 4 2'
_cell_length_a 6.800
_cell_length_b 6.800
_cell_length_c 5.361
_cell_angle_alpha 90.00
_cell_angle_beta 90.00
_cell_angle_gamma 90.00
loop_
_atom_site_label
_atom_site_type_symbol
_atom_site_fract_x
_atom_site_fract_y
_atom_site_fract_z
Hf1 Hf 0.153 0.347 0.250
Co1 Co 0.000 0.000 0.500
Bi1 Bi 0.000 0.000 0.000
```

Largest 12 diffraction maxima, low angle first, 10 to 80 degrees two-theta:
| d [Å] | Position (°2θ) | I_rel |
| --- | --- | --- |
| 4.210 | 21.10 | 10.3 |
| 2.681 | 33.43 | 7.8 |
| 2.645 | 33.89 | 100.0 |
| 2.404 | 37.40 | 7.6 |
| 2.341 | 38.45 | 28.4 |
| 2.150 | 42.02 | 38.5 |
| 2.105 | 42.96 | 21.8 |
| 1.576 | 58.55 | 10.9 |
| 1.541 | 60.05 | 19.7 |
| 1.436 | 64.95 | 16.0 |
| 1.376 | 68.16 | 18.3 |
| 1.229 | 77.69 | 13.6 |